1.
Starting from the GGA-PBE geometry in Alexandria, the powder diffractogram of Ce2Sm3HoP6 was computed for CuKα.
Peak positions follow from Bragg's law for the DFT cell and can differ from measured ones.

Atomic structure:
```
data_Ce2Sm3HoP6
_chemical_formula_sum 'Ce2 Sm3 Ho1 P6'
_space_group_name_H-M_alt 'P 1'
_space_group_IT_number 1
_cell_length_a 7.059
_cell_length_b 7.059
_cell_length_c 7.065
_cell_angle_alpha 99.59
_cell_angle_beta 99.59
_cell_angle_gamma 120.00
loop_
_space_group_symop_operation_xyz
'x,y,z'
loop_
_atom_site_label
_atom_site_fract_x
_atom_site_fract_y
_atom_site_fract_z
Ce1 0.167 0.833 0.000
Ce2 0.833 0.167 0.000
Sm1 0.000 0.000 0.500
Sm2 0.333 0.667 0.500
Sm3 0.667 0.333 0.500
Ho1 0.500 0.500 0.000
P1 0.086 0.419 0.756
P2 0.249 0.249 0.245
P3 0.419 0.086 0.756
P4 0.581 0.914 0.244
P5 0.751 0.751 0.755
P6 0.914 0.581 0.244
```

Principal peaks in the range 10° ≤ 2θ ≤ 90°, most intense first:
2θ (°)	intensity
31.0	100.0
26.8	81.7
44.4	73.1
73.5	32.7
52.7	30.0
55.2	25.6
81.9	24.7
71.3	16.2
88.0	12.7
64.7	11.9

---

2.
Starting from the GGA-PBE geometry in Alexandria, the powder diffractogram of CeHoPa2 was computed for CuKα.
Peak positions follow from Bragg's law for the DFT cell and can differ from measured ones.

Atomic structure:
```
data_CeHoPa2
_chemical_formula_sum 'Ce1 Ho1 Pa2'
_space_group_name_H-M_alt 'P 1'
_space_group_IT_number 1
_cell_length_a 4.628
_cell_length_b 4.628
_cell_length_c 4.925
_cell_angle_alpha 90.00
_cell_angle_beta 90.00
_cell_angle_gamma 90.00
loop_
_space_group_symop_operation_xyz
'x,y,z'
loop_
_atom_site_label
_atom_site_fract_x
_atom_site_fract_y
_atom_site_fract_z
Ce1 0.000 0.000 0.000
Ho1 0.500 0.500 0.000
Pa1 0.000 0.500 0.500
Pa2 0.500 0.000 0.500
```

Principal peaks in the range 10° ≤ 2θ ≤ 90°, most intense first:
2θ (°)	intensity
32.9	100.0
38.9	31.8
66.7	26.7
54.4	24.5
36.5	18.9
63.4	15.5
89.8	12.8
68.9	12.2
56.2	11.1
18.0	3.9

---

3.
Starting from the GGA-PBE geometry in Alexandria, the powder diffractogram of CeHoRuPb was computed for CuKα.
Peak positions follow from Bragg's law for the DFT cell and can differ from measured ones.

Atomic structure:
```
data_CeHoRuPb
_chemical_formula_sum 'Ce1 Ho1 Ru1 Pb1'
_space_group_name_H-M_alt 'P 1'
_space_group_IT_number 1
_cell_length_a 3.392
_cell_length_b 3.392
_cell_length_c 8.462
_cell_angle_alpha 90.00
_cell_angle_beta 90.00
_cell_angle_gamma 90.00
loop_
_space_group_symop_operation_xyz
'x,y,z'
loop_
_atom_site_label
_atom_site_fract_x
_atom_site_fract_y
_atom_site_fract_z
Ce1 0.000 0.000 0.000
Ho1 0.000 0.000 0.594
Ru1 0.500 0.500 0.795
Pb1 0.500 0.500 0.303
```

Principal peaks in the range 10° ≤ 2θ ≤ 90°, most intense first:
2θ (°)	intensity
33.9	100.0
37.5	45.3
65.4	30.1
28.3	17.9
54.1	15.8
58.1	12.3
49.9	12.3
31.7	10.6
61.2	9.6
86.1	7.8

---

4.
Starting from the GGA-PBE geometry in Alexandria, the powder diffractogram of CeHoTlPb was computed for CuKα.
Peak positions follow from Bragg's law for the DFT cell and can differ from measured ones.

Atomic structure:
```
data_CeHoTlPb
_chemical_formula_sum 'Ce1 Ho1 Tl1 Pb1'
_space_group_name_H-M_alt 'P 1'
_space_group_IT_number 1
_cell_length_a 5.708
_cell_length_b 5.708
_cell_length_c 5.708
_cell_angle_alpha 127.39
_cell_angle_beta 127.39
_cell_angle_gamma 77.62
loop_
_space_group_symop_operation_xyz
'x,y,z'
loop_
_atom_site_label
_atom_site_fract_x
_atom_site_fract_y
_atom_site_fract_z
Ce1 0.000 0.000 0.000
Ho1 0.500 0.500 0.000
Tl1 0.750 0.250 0.500
Pb1 0.250 0.750 0.500
```

Principal peaks in the range 10° ≤ 2θ ≤ 90°, most intense first:
2θ (°)	intensity
32.1	100.0
35.5	38.4
61.6	31.6
55.0	22.2
51.1	13.8
40.6	13.3
67.2	12.2
68.5	11.6
84.0	6.8
85.9	6.5

---

5.
Starting from the GGA-PBE geometry in Alexandria, the powder diffractogram of CeHoPd14 was computed for CuKα.
Peak positions follow from Bragg's law for the DFT cell and can differ from measured ones.

Atomic structure:
```
data_CeHoPd14
_chemical_formula_sum 'Ce1 Ho1 Pd14'
_space_group_name_H-M_alt 'P 1'
_space_group_IT_number 1
_cell_length_a 5.801
_cell_length_b 5.801
_cell_length_c 7.869
_cell_angle_alpha 90.00
_cell_angle_beta 90.00
_cell_angle_gamma 90.00
loop_
_space_group_symop_operation_xyz
'x,y,z'
loop_
_atom_site_label
_atom_site_fract_x
_atom_site_fract_y
_atom_site_fract_z
Ce1 0.000 0.000 0.000
Ho1 0.500 0.500 0.000
Pd1 0.000 0.000 0.500
Pd2 0.000 0.500 0.000
Pd3 0.000 0.500 0.500
Pd4 0.249 0.249 0.257
Pd5 0.249 0.249 0.743
Pd6 0.249 0.751 0.257
Pd7 0.249 0.751 0.743
Pd8 0.500 0.000 0.000
Pd9 0.500 0.000 0.500
Pd10 0.500 0.500 0.500
Pd11 0.751 0.249 0.257
Pd12 0.751 0.249 0.743
Pd13 0.751 0.751 0.257
Pd14 0.751 0.751 0.743
```

Principal peaks in the range 10° ≤ 2θ ≤ 90°, most intense first:
2θ (°)	intensity
38.6	100.0
44.2	34.0
77.5	25.1
65.8	20.0
46.1	14.7
80.4	11.1
64.2	10.9
82.7	10.5
32.9	0.7
24.5	0.7

---

6.
Starting from the GGA-PBE geometry in Alexandria, the powder diffractogram of CeHoPdPt was computed for CuKα.
Peak positions follow from Bragg's law for the DFT cell and can differ from measured ones.

Atomic structure:
```
data_CeHoPdPt
_chemical_formula_sum 'Ce1 Ho1 Pd1 Pt1'
_space_group_name_H-M_alt 'P 1'
_space_group_IT_number 1
_cell_length_a 4.576
_cell_length_b 5.637
_cell_length_c 5.637
_cell_angle_alpha 38.74
_cell_angle_beta 90.00
_cell_angle_gamma 90.00
loop_
_space_group_symop_operation_xyz
'x,y,z'
loop_
_atom_site_label
_atom_site_fract_x
_atom_site_fract_y
_atom_site_fract_z
Ce1 0.000 0.000 0.000
Ho1 0.500 0.273 0.273
Pd1 0.500 0.547 0.547
Pt1 0.000 0.727 0.727
```

Principal peaks in the range 10° ≤ 2θ ≤ 90°, most intense first:
2θ (°)	intensity
32.0	100.0
40.2	71.9
39.4	32.6
33.7	32.2
39.2	18.7
52.8	18.1
48.7	17.8
64.4	15.4
66.8	13.2
34.9	13.0

---

7.
Starting from the GGA-PBE geometry in Alexandria, the powder diffractogram of CeHoTcPd was computed for CuKα.
Peak positions follow from Bragg's law for the DFT cell and can differ from measured ones.

Atomic structure:
```
data_CeHoTcPd
_chemical_formula_sum 'Ce1 Ho1 Tc1 Pd1'
_space_group_name_H-M_alt 'P 1'
_space_group_IT_number 1
_cell_length_a 4.914
_cell_length_b 4.914
_cell_length_c 4.914
_cell_angle_alpha 60.00
_cell_angle_beta 60.00
_cell_angle_gamma 60.00
loop_
_space_group_symop_operation_xyz
'x,y,z'
loop_
_atom_site_label
_atom_site_fract_x
_atom_site_fract_y
_atom_site_fract_z
Ce1 0.000 0.000 0.000
Ho1 0.500 0.500 0.500
Tc1 0.250 0.250 0.250
Pd1 0.750 0.750 0.750
```

Principal peaks in the range 10° ≤ 2θ ≤ 90°, most intense first:
2θ (°)	intensity
36.6	100.0
65.8	35.3
52.7	17.4
89.1	16.1
77.7	10.9
25.6	4.0
59.5	1.7
45.2	1.3
83.5	0.9
22.2	0.5

---

8.
Starting from the GGA-PBE geometry in Alexandria, the powder diffractogram of CePmHo2 was computed for CuKα.
Peak positions follow from Bragg's law for the DFT cell and can differ from measured ones.

Atomic structure:
```
data_CePmHo2
_chemical_formula_sum 'Ce1 Pm1 Ho2'
_space_group_name_H-M_alt 'P 1'
_space_group_IT_number 1
_cell_length_a 5.041
_cell_length_b 5.041
_cell_length_c 4.972
_cell_angle_alpha 90.00
_cell_angle_beta 90.00
_cell_angle_gamma 90.00
loop_
_space_group_symop_operation_xyz
'x,y,z'
loop_
_atom_site_label
_atom_site_fract_x
_atom_site_fract_y
_atom_site_fract_z
Ce1 0.000 0.000 0.000
Pm1 0.500 0.500 0.000
Ho1 0.000 0.500 0.500
Ho2 0.500 0.000 0.500
```

Principal peaks in the range 10° ≤ 2θ ≤ 90°, most intense first:
2θ (°)	intensity
30.9	100.0
35.6	34.2
61.0	28.7
51.6	23.8
36.1	16.4
61.7	13.9
64.3	12.3
51.3	12.2
84.3	11.7
83.7	6.0